Record 1
Diffraction record for La12Y6Ho. The powder diffraction line list is calculated, not measured: it uses the PBE geometry in Alexandria and Cu Kα.

The 10 most intense peaks (2θ from 10° to 90°), by angle:
2theta  Rel. int.  (hkl)
27.96  50.3  1 1 3
28.75  20.1  4 0 1
30.01  25.4  3 1 2
31.56  100.0  4 1 0
32.75  58.4  0 3 3
34.55  14.0  5 -3 2
34.93  33.2  2 2 3
49.89  12.8  3 5 1
50.97  20.0  7 -2 3
61.98  20.3  5 -4 6

```
data_La12Y6Ho
_space_group_name_H-M_alt 'R -3'
_space_group_IT_number 148
_space_group_name_Hall '-R 3'
_cell_length_a 15.0010
_cell_length_b 15.0010
_cell_length_c 10.5787
_cell_angle_alpha 90.00
_cell_angle_beta 90.00
_cell_angle_gamma 120.00
loop_
_atom_site_label
_atom_site_type_symbol
_atom_site_fract_x
_atom_site_fract_y
_atom_site_fract_z
La1 La 0.0438 0.7878 0.0745
La2 La 0.0677 0.8363 0.4239
Y1 Y 0.0466 0.8496 0.7595
Ho1 Ho 0.0000 0.0000 0.0000
```



Record 2
Diffraction record for LaY5Ho4. The powder diffraction line list is calculated, not measured: it uses the PBE geometry in Alexandria and Cu Kα.

The 10 most intense peaks (2θ from 10° to 90°), by angle:
2theta  Rel. int.  (hkl)
27.53  63.5  3 1 0
28.23  33.4  0 0 2
29.73  100.0  3 0 1
30.86  54.3  1 1 2
34.61  65.4  2 3 1
37.23  21.8  3 3 0
38.94  34.6  1 4 1
39.84  26.1  1 3 2
49.11  23.6  4 2 2
56.54  19.0  6 1 1

```
data_LaY5Ho4
_space_group_name_H-M_alt 'I 4'
_space_group_IT_number 79
_cell_length_a 10.2456
_cell_length_b 10.2456
_cell_length_c 6.3223
_cell_angle_alpha 90.00
_cell_angle_beta 90.00
_cell_angle_gamma 90.00
loop_
_space_group_symop_operation_xyz
'x,y,z'
'-y,x,z'
'-x,-y,z'
'y,-x,z'
'x+1/2,y+1/2,z+1/2'
'-y+1/2,x+1/2,z+1/2'
'-x+1/2,-y+1/2,z+1/2'
'y+1/2,-x+1/2,z+1/2'
loop_
_atom_site_label
_atom_site_type_symbol
_atom_site_fract_x
_atom_site_fract_y
_atom_site_fract_z
La1 La 0.0000 0.0000 0.0000
Y1 Y 0.0000 0.0000 0.4547
Y2 Y 0.1459 0.7644 0.7254
Ho1 Ho 0.0520 0.6474 0.2311
```



Record 3
Diffraction record for LaY3Ho7. The powder diffraction line list is calculated, not measured: it uses the PBE geometry in Alexandria and Cu Kα.

The 10 most intense peaks (2θ from 10° to 90°), by angle:
2theta  Rel. int.  (hkl)
24.95  27.5  0 1 2
25.54  40.6  2 0 -1
31.46  56.2  1 1 2
31.63  91.3  2 1 0
31.81  73.9  1 1 -3
31.92  83.3  2 1 -2
32.19  100.0  0 2 0
33.07  92.9  0 1 3
49.37  28.7  1 2 -4
62.91  41.2  4 2 -2

```
data_LaY3Ho7
_space_group_name_H-M_alt 'P 1 2/m 1'
_space_group_IT_number 10
_cell_length_a 6.9773
_cell_length_b 5.5613
_cell_length_c 9.8793
_cell_angle_alpha 90.00
_cell_angle_beta 109.63
_cell_angle_gamma 90.00
loop_
_space_group_symop_operation_xyz
'x,y,z'
'-x,-y,-z'
'-x,y,-z'
'x,-y,z'
loop_
_atom_site_label
_atom_site_type_symbol
_atom_site_fract_x
_atom_site_fract_y
_atom_site_fract_z
La1 La 0.0000 0.0000 0.0000
Y1 Y 0.2763 0.5000 0.4966
Y2 Y 0.5000 0.0000 0.0000
Ho1 Ho 0.0000 0.0000 0.5000
Ho2 Ho 0.1463 0.5000 0.7909
Ho3 Ho 0.3272 0.5000 0.1436
Ho4 Ho 0.4243 0.0000 0.3321
```